Structure and theoretical powder XRD pattern of GdHg6 (a DFT-relaxed cell (PBE, Alexandria); Cu Kα, 1.54184 Å).
Lines closer than 0.1° are merged.

Structure:
```
data_GdHg6
_cell_length_a 7.9434
_cell_length_b 7.9434
_cell_length_c 7.9434
_cell_angle_alpha 90.00
_cell_angle_beta 90.00
_cell_angle_gamma 90.00
_symmetry_space_group_name_H-M 'I m -3 m'
_symmetry_Int_Tables_number 229
_symmetry_space_group_name_Hall '-I 4 2 3'
loop_
_atom_site_label
_atom_site_type_symbol
_atom_site_fract_x
_atom_site_fract_y
_atom_site_fract_z
Gd1 Gd 0.0000 0.0000 0.0000
Hg1 Hg 0.0000 0.2500 0.5000
```

Principal peaks in the range 2θ from 10° to 80°, by angle:
h k l  d/Å  2θ/deg  Rel. int.
1 1 0  5.617  15.8  343
2 0 0  3.972  22.4  412
2 1 1  3.243  27.5  1000
2 2 2  2.293  39.3  470
3 2 1  2.123  42.6  631
4 0 0  1.986  45.7  386
4 4 0  1.404  66.6  255
6 1 1  1.289  73.5  193

***

Structure and theoretical powder XRD pattern of GdHgIr4 (a DFT-relaxed cell (PBE, Alexandria); Cu Kα, 1.54184 Å).
Lines closer than 0.1° are merged.

Structure:
```
data_GdHgIr4
_cell_length_a 7.5452
_cell_length_b 7.5452
_cell_length_c 7.5452
_cell_angle_alpha 90.00
_cell_angle_beta 90.00
_cell_angle_gamma 90.00
_symmetry_space_group_name_H-M 'F -4 3 m'
_symmetry_Int_Tables_number 216
_symmetry_space_group_name_Hall 'F -4 2 3'
loop_
_atom_site_label
_atom_site_type_symbol
_atom_site_fract_x
_atom_site_fract_y
_atom_site_fract_z
Gd1 Gd 0.0000 0.0000 0.0000
Hg1 Hg 0.2500 0.2500 0.2500
Ir1 Ir 0.1247 0.1247 0.6247
```

Principal peaks in the range 2θ from 10° to 80°, by angle:
h k l  d/Å  2θ/deg  Rel. int.
1 1 1  4.356  20.4  77
2 2 0  2.668  33.6  249
3 1 1  2.275  39.6  1000
2 2 2  2.178  41.5  424
4 0 0  1.886  48.2  58
4 2 2  1.540  60.1  95
5 1 1  1.452  64.1  328
4 4 0  1.334  70.6  289

***

Structure and theoretical powder XRD pattern of SrLiGdHg (a DFT-relaxed cell (PBE, Alexandria); Cu Kα, 1.54184 Å).
Lines closer than 0.1° are merged.

Structure:
```
data_SrLiGdHg
_cell_length_a 7.7499
_cell_length_b 7.7499
_cell_length_c 7.7499
_cell_angle_alpha 90.00
_cell_angle_beta 90.00
_cell_angle_gamma 90.00
_symmetry_space_group_name_H-M 'F -4 3 m'
_symmetry_Int_Tables_number 216
_symmetry_space_group_name_Hall 'F -4 2 3'
loop_
_atom_site_label
_atom_site_type_symbol
_atom_site_fract_x
_atom_site_fract_y
_atom_site_fract_z
Sr1 Sr 0.0000 0.0000 0.0000
Li1 Li 0.2500 0.2500 0.7500
Gd1 Gd 0.0000 0.0000 0.5000
Hg1 Hg 0.2500 0.2500 0.2500
```

Principal peaks in the range 2θ from 10° to 80°, by angle:
h k l  d/Å  2θ/deg  Rel. int.
1 1 1  4.474  19.8  470
2 2 0  2.740  32.7  1000
3 1 1  2.337  38.5  273
4 0 0  1.937  46.9  184
3 3 1  1.778  51.4  121
4 2 2  1.582  58.3  385
4 4 0  1.370  68.5  120
6 2 0  1.225  78.0  168

***

Structure and theoretical powder XRD pattern of PmGdHg2 (a DFT-relaxed cell (PBE, Alexandria); Cu Kα, 1.54184 Å).
Lines closer than 0.1° are merged.

Structure:
```
data_PmGdHg2
_cell_length_a 7.5624
_cell_length_b 7.5624
_cell_length_c 7.5624
_cell_angle_alpha 90.00
_cell_angle_beta 90.00
_cell_angle_gamma 90.00
_symmetry_space_group_name_H-M 'F m -3 m'
_symmetry_Int_Tables_number 225
_symmetry_space_group_name_Hall '-F 4 2 3'
loop_
_atom_site_label
_atom_site_type_symbol
_atom_site_fract_x
_atom_site_fract_y
_atom_site_fract_z
Pm1 Pm 0.0000 0.0000 0.0000
Gd1 Gd 0.0000 0.0000 0.5000
Hg1 Hg 0.2500 0.2500 0.2500
```

Principal peaks in the range 2θ from 10° to 80°, by angle:
h k l  d/Å  2θ/deg  Rel. int.
2 0 0  3.781  23.5  22
2 2 0  2.674  33.5  1000
2 2 2  2.183  41.4  8
4 0 0  1.891  48.1  183
4 2 0  1.691  54.2  11
4 2 2  1.544  59.9  383
4 4 0  1.337  70.4  119
6 0 0  1.260  75.4  6